The following is a calculated X-ray powder pattern of Tm4CdIrPd2. It was derived from a structure optimized by DFT (PBE), using copper Kα.
Peak positions follow from Bragg's law for the DFT cell and can differ from measured ones.

Principal peaks in the range 2θ = 10–90°, by angle:
- 2θ = 11.0°, I 3
- 2θ = 21.0°, I 1
- 2θ = 22.0°, I 1
- 2θ = 25.5°, I 2
- 2θ = 33.3°, I 2
- 2θ = 36.3°, I 100
- 2θ = 50.1°, I 3
- 2θ = 52.3°, I 17
- 2θ = 65.3°, I 33
- 2θ = 69.5°, I 3
- 2θ = 77.1°, I 10
- 2θ = 88.3°, I 14

Unit cell a=8.5703 b=8.5703 c=8.5703 alpha=33.56 beta=33.56 gamma=33.56
Element x y z (fractional)
Tm (0.1171, 0.1171, 0.1171)
Tm (0.3684, 0.3684, 0.3684)
Tm (0.6316, 0.6316, 0.6316)
Tm (0.8829, 0.8829, 0.8829)
Cd (0.5000, 0.5000, 0.5000)
Ir (0.0000, 0.0000, 0.0000)
Pd (0.2452, 0.2452, 0.2452)
Pd (0.7548, 0.7548, 0.7548)

***

The following is a calculated X-ray powder pattern of TbDyY5Th2. It was derived from a structure optimized by DFT (PBE), using copper Kα.
Peak positions follow from Bragg's law for the DFT cell and can differ from measured ones.

Principal peaks in the range 2θ = 10–90°, by angle:
- 2θ = 22.9°, I 24
- 2θ = 23.3°, I 32
- 2θ = 28.5°, I 89
- 2θ = 28.8°, I 52
- 2θ = 30.8°, I 100
- 2θ = 32.2°, I 21
- 2θ = 34.3°, I 21
- 2θ = 36.9°, I 29
- 2θ = 37.4°, I 40
- 2θ = 42.8°, I 45
- 2θ = 46.9°, I 18
- 2θ = 52.2°, I 23

Unit cell a=9.9351 b=9.9351 c=9.9351 alpha=127.54 beta=127.54 gamma=77.37
Element x y z (fractional)
Tb (0.2500, 0.7500, 0.5000)
Tb (0.7500, 0.2500, 0.5000)
Dy (0.2500, 0.2500, 0.0000)
Dy (0.7500, 0.7500, 0.0000)
Y (0.0000, 0.0000, 0.0000)
Y (0.0705, 0.5705, 0.9196)
Y (0.1509, 0.0705, 0.5000)
Y (0.3491, 0.8491, 0.9196)
Y (0.4295, 0.3491, 0.5000)
Y (0.5000, 0.5000, 0.0000)
Y (0.5705, 0.6509, 0.5000)
Y (0.6509, 0.1509, 0.0804)
Y (0.8491, 0.9295, 0.5000)
Y (0.9295, 0.4295, 0.0804)
Th (0.1189, 0.3811, 0.5000)
Th (0.3811, 0.8811, 0.2622)
Th (0.6189, 0.1189, 0.7378)
Th (0.8811, 0.6189, 0.5000)

***

The following is a calculated X-ray powder pattern of AcHSeS. It was derived from a structure optimized by DFT (PBE), using copper Kα.
Peak positions follow from Bragg's law for the DFT cell and can differ from measured ones.

Principal peaks in the range 2θ = 10–90°, by angle:
- 2θ = 17.2°, I 47
- 2θ = 20.7°, I 100
- 2θ = 23.5°, I 88
- 2θ = 25.0°, I 24
- 2θ = 28.8°, I 28
- 2θ = 35.6°, I 88
- 2θ = 35.8°, I 95
- 2θ = 38.1°, I 24
- 2θ = 40.0°, I 35
- 2θ = 44.7°, I 33
- 2θ = 51.4°, I 31
- 2θ = 64.2°, I 32

Unit cell a=10.7341 b=10.7341 c=10.7341 alpha=27.02 beta=27.02 gamma=27.02
Element x y z (fractional)
Ac (0.1011, 0.1011, 0.1011)
Ac (0.8989, 0.8989, 0.8989)
H (0.3428, 0.3428, 0.3428)
H (0.6572, 0.6572, 0.6572)
Se (0.2019, 0.2019, 0.2019)
Se (0.7981, 0.7981, 0.7981)
S (0.3864, 0.3864, 0.3864)
S (0.6136, 0.6136, 0.6136)

***

The following is a calculated X-ray powder pattern of Pm4Pu3Te8. It was derived from a structure optimized by DFT (PBE), using copper Kα.
Peak positions follow from Bragg's law for the DFT cell and can differ from measured ones.

Principal peaks in the range 2θ = 10–90°, by angle:
- 2θ = 14.1°, I 7
- 2θ = 20.0°, I 6
- 2θ = 28.4°, I 100
- 2θ = 40.6°, I 77
- 2θ = 50.3°, I 28
- 2θ = 58.8°, I 9
- 2θ = 66.6°, I 18
- 2θ = 66.7°, I 18
- 2θ = 73.9°, I 13
- 2θ = 74.0°, I 13
- 2θ = 87.9°, I 4
- 2θ = 88.1°, I 4

Unit cell a=8.8739 b=8.8739 c=8.8740 alpha=119.92 beta=119.92 gamma=90.07
Element x y z (fractional)
Pm (0.0000, 0.0000, 0.0000)
Pm (0.0000, 0.5000, 0.0000)
Pm (0.5000, 0.0000, 0.0000)
Pm (0.5000, 0.5000, 0.5000)
Pu (0.0000, 0.0000, 0.5000)
Pu (0.0000, 0.5000, 0.5000)
Pu (0.5000, 0.0000, 0.5000)
Te (0.2486, 0.7514, 0.5000)
Te (0.2532, 0.2532, 0.5083)
Te (0.2551, 0.2551, 0.9991)
Te (0.2547, 0.7453, 0.0000)
Te (0.7453, 0.2547, 0.0000)
Te (0.7449, 0.7449, 0.0009)
Te (0.7468, 0.7468, 0.4917)
Te (0.7514, 0.2486, 0.5000)

***

The following is a calculated X-ray powder pattern of Li2TlPd6. It was derived from a structure optimized by DFT (PBE), using copper Kα.
Peak positions follow from Bragg's law for the DFT cell and can differ from measured ones.

Principal peaks in the range 2θ = 10–90°, by angle:
- 2θ = 21.8°, I 8
- 2θ = 23.0°, I 10
- 2θ = 25.5°, I 19
- 2θ = 40.5°, I 100
- 2θ = 46.4°, I 7
- 2θ = 48.4°, I 3
- 2θ = 58.6°, I 17
- 2θ = 73.6°, I 26
- 2θ = 73.8°, I 7
- 2θ = 83.1°, I 3
- 2θ = 87.5°, I 5
- 2θ = 87.7°, I 4

Unit cell a=4.4601 b=4.4601 c=8.1711 alpha=90.00 beta=90.00 gamma=120.00
Element x y z (fractional)
Li (0.3333, 0.6667, 0.2282)
Li (0.6667, 0.3333, 0.7718)
Tl (0.0000, 0.0000, 0.0000)
Pd (0.0000, 0.0000, 0.3335)
Pd (0.0000, 0.0000, 0.6665)
Pd (0.3333, 0.6667, 0.5378)
Pd (0.3333, 0.6667, 0.8743)
Pd (0.6667, 0.3333, 0.1257)
Pd (0.6667, 0.3333, 0.4622)

***

The following is a calculated X-ray powder pattern of Li2Zn3Ni7. It was derived from a structure optimized by DFT (PBE), using copper Kα.
Peak positions follow from Bragg's law for the DFT cell and can differ from measured ones.

Principal peaks in the range 2θ = 10–90°, by angle:
- 2θ = 10.8°, I 81
- 2θ = 22.8°, I 22
- 2θ = 30.8°, I 21
- 2θ = 36.6°, I 24
- 2θ = 43.9°, I 33
- 2θ = 44.3°, I 22
- 2θ = 45.3°, I 41
- 2θ = 45.4°, I 37
- 2θ = 45.8°, I 44
- 2θ = 46.3°, I 100
- 2θ = 46.6°, I 45
- 2θ = 49.7°, I 35

Unit cell a=4.3443 b=4.4712 c=8.4308 alpha=84.56 beta=75.87 gamma=67.27
Element x y z (fractional)
Li (0.0681, 0.3274, 0.1090)
Li (0.9319, 0.6726, 0.8910)
Zn (0.0000, 0.5000, 0.5000)
Zn (0.3318, 0.9902, 0.8166)
Zn (0.6682, 0.0098, 0.1834)
Ni (0.0713, 0.9992, 0.3538)
Ni (0.3622, 0.7064, 0.0995)
Ni (0.4341, 0.4963, 0.6530)
Ni (0.5000, 0.0000, 0.5000)
Ni (0.5659, 0.5037, 0.3470)
Ni (0.6378, 0.2936, 0.9005)
Ni (0.9287, 0.0008, 0.6462)